The following is a computed powder diffraction line list of MgMoO9. It was derived from a crystal structure in the Materials Project, relaxed with GGA+U, using copper Kα.
Kinematic intensities with the Lorentz-polarization factor, no thermal factor.

The 10 most intense peaks (2θ = 10–90°), sorted by position:
- (1 0 0), 15.28°, I = 56
- (0 1 1), 16.69°, I = 100
- (1 1 1), 21.11°, I = 61
- (0 1 2), 21.78°, I = 62
- (1 -1 1), 24.08°, I = 85
- (-1 1 1), 24.19°, I = 47
- (0 0 3), 25.46°, I = 61
- (1 0 3), 28.58°, I = 43
- (2 0 0), 30.82°, I = 75
- (0 2 2), 33.74°, I = 44

Structure:
```
data_MgMoO9
_symmetry_space_group_name_H-M 'P -1'
_symmetry_Int_Tables_number 2
_symmetry_space_group_name_Hall '-P 1'
_cell_length_a 5.8562
_cell_length_b 5.9257
_cell_length_c 10.5836
_cell_angle_alpha 84.78
_cell_angle_beta 84.29
_cell_angle_gamma 83.93
loop_
_atom_site_label
_atom_site_type_symbol
_atom_site_fract_x
_atom_site_fract_y
_atom_site_fract_z
Mg1 Mg 0.0000 0.0000 0.0000
Mg2 Mg 0.5000 0.5000 0.5000
Mo1 Mo 0.0114 0.7721 0.3209
O1 O 0.0218 0.9479 0.6379
O2 O 0.0278 0.7886 0.1427
O3 O 0.2192 0.6842 0.8743
O4 O 0.2347 0.3690 0.6124
O5 O 0.2752 0.6311 0.3753
O6 O 0.4100 0.0661 0.0035
O7 O 0.4117 0.5814 0.8809
O8 O 0.4767 0.0480 0.2867
O9 O 0.4872 0.1440 0.3841
```